# 1
Diffraction record for TaAg7S6. The powder diffractogram is simulated, not measured: it uses a crystal structure in Alexandria, relaxed with GGA-PBE and CuKα.
Neutral-atom scattering factors, no anomalous dispersion.

Principal peaks in the range 2θ = 10–90°, sorted by position:
2θ 13.77, I = 805; 2θ 16.52, I = 388; 2θ 27.73, I = 988; 2θ 28.20, I = 516; 2θ 28.33, I = 913; 2θ 30.37, I = 1000; 2θ 33.39, I = 377; 2θ 37.04, I = 745; 2θ 39.86, I = 358; 2θ 45.58, I = 586

Structural model:
```
TaAg7S6
1.0
7.967 0.000 0.000
0.000 7.265 0.000
-7.791 0.000 10.650
Ta Ag S
2 14 12
Direct
0.000 0.248 0.000 Ta
0.000 0.752 0.500 Ta
0.069 0.426 0.310 Ag
0.069 0.574 0.810 Ag
0.521 0.036 0.062 Ag
0.521 0.139 0.321 Ag
0.521 0.861 0.821 Ag
0.521 0.964 0.562 Ag
0.661 0.346 0.696 Ag
0.661 0.654 0.196 Ag
0.713 0.474 0.498 Ag
0.713 0.526 0.998 Ag
0.957 0.011 0.267 Ag
0.957 0.989 0.767 Ag
0.974 0.207 0.469 Ag
0.974 0.793 0.969 Ag
0.110 0.492 0.624 S
0.110 0.508 0.124 S
0.132 0.017 0.147 S
0.132 0.983 0.647 S
0.173 0.248 0.907 S
0.173 0.752 0.407 S
0.434 0.271 0.464 S
0.434 0.729 0.964 S
0.638 0.232 0.868 S
0.638 0.768 0.368 S
0.714 0.271 0.233 S
0.714 0.729 0.733 S
```

# 2
Diffraction record for TaAg7S6. The powder diffractogram is simulated, not measured: it uses a crystal structure in Alexandria, relaxed with GGA-PBE and CuKα.
Neutral-atom scattering factors, no anomalous dispersion.

Principal peaks in the range 2θ = 10–90°, sorted by position:
2θ 13.68, I = 539; 2θ 15.04, I = 358; 2θ 27.55, I = 909; 2θ 28.18, I = 1000; 2θ 28.37, I = 522; 2θ 28.66, I = 628; 2θ 30.35, I = 524; 2θ 35.91, I = 545; 2θ 36.66, I = 399; 2θ 43.90, I = 492

Structural model:
```
TaAg7S6
1.0
7.366 0.000 0.000
-0.423 7.437 0.000
-2.961 -3.821 5.890
Ta Ag S
1 7 6
Direct
0.000 0.000 0.000 Ta
0.078 0.456 0.884 Ag
0.523 0.155 0.944 Ag
0.529 0.457 0.368 Ag
0.549 0.893 0.334 Ag
0.720 0.695 0.008 Ag
0.909 0.338 0.399 Ag
0.991 0.022 0.521 Ag
0.113 0.370 0.223 S
0.124 0.866 0.230 S
0.148 0.882 0.770 S
0.458 0.509 0.041 S
0.644 0.851 0.760 S
0.712 0.283 0.574 S
```

# 3
Diffraction record for TaTlAg2S4. The powder diffractogram is simulated, not measured: it uses a crystal structure in Alexandria, relaxed with GGA-PBE and CuKα.
Neutral-atom scattering factors, no anomalous dispersion.

Principal peaks in the range 2θ = 10–90°, sorted by position:
2θ 26.65, I = 1000; 2θ 27.00, I = 311; 2θ 38.55, I = 237; 2θ 46.84, I = 279; 2θ 47.48, I = 414; 2θ 54.90, I = 100; 2θ 61.32, I = 97; 2θ 74.82, I = 98; 2θ 75.63, I = 110; 2θ 76.12, I = 96

Structural model:
```
TaTlAg2S4
1.0
-3.302 3.302 4.793
3.302 -3.302 4.793
3.302 3.302 -4.793
Ta Tl Ag S
1 1 2 4
Direct
0.000 0.000 0.000 Ta
0.500 0.500 0.000 Tl
0.250 0.750 0.500 Ag
0.750 0.250 0.500 Ag
0.060 0.060 0.399 S
0.340 0.940 0.000 S
0.660 0.660 0.601 S
0.940 0.340 0.000 S
```

# 4
Diffraction record for Ag5TeS4. The powder diffractogram is simulated, not measured: it uses a crystal structure in Alexandria, relaxed with GGA-PBE and CuKα.
Neutral-atom scattering factors, no anomalous dispersion.

Principal peaks in the range 2θ = 10–90°, sorted by position:
2θ 27.50, I = 519; 2θ 28.50, I = 834; 2θ 33.22, I = 1000; 2θ 38.03, I = 345; 2θ 43.33, I = 294; 2θ 45.92, I = 406; 2θ 46.03, I = 378; 2θ 50.03, I = 202; 2θ 52.09, I = 177; 2θ 58.99, I = 179

Structural model:
```
Ag5TeS4
1.0
7.970 -2.088 0.000
7.970 2.088 0.000
-3.316 0.000 6.494
Ag Te S
5 1 4
Direct
0.000 0.000 0.000 Ag
0.319 0.319 0.564 Ag
0.320 0.320 0.068 Ag
0.680 0.680 0.932 Ag
0.681 0.681 0.436 Ag
0.000 0.000 0.500 Te
0.192 0.192 0.691 S
0.500 0.500 0.229 S
0.500 0.500 0.771 S
0.808 0.808 0.309 S
```

# 5
Diffraction record for AgTe2S3. The powder diffractogram is simulated, not measured: it uses a crystal structure in Alexandria, relaxed with GGA-PBE and CuKα.
Neutral-atom scattering factors, no anomalous dispersion.

Principal peaks in the range 2θ = 10–90°, sorted by position:
2θ 24.45, I = 330; 2θ 24.64, I = 321; 2θ 30.80, I = 513; 2θ 31.72, I = 1000; 2θ 44.80, I = 697; 2θ 45.24, I = 176; 2θ 45.69, I = 176; 2θ 55.75, I = 220; 2θ 56.12, I = 176; 2θ 74.84, I = 143

Structural model:
```
AgTe2S3
1.0
8.017 0.000 0.000
0.000 3.971 0.000
0.000 0.000 8.708
Ag Te S
2 4 6
Direct
0.250 0.000 0.167 Ag
0.750 0.000 0.833 Ag
0.000 0.500 0.500 Te
0.250 0.000 0.846 Te
0.500 0.500 0.500 Te
0.750 0.000 0.154 Te
0.018 0.500 0.815 S
0.250 0.000 0.466 S
0.482 0.500 0.815 S
0.518 0.500 0.185 S
0.750 0.000 0.534 S
0.982 0.500 0.185 S
```

# 6
Diffraction record for Ag2Te2S. The powder diffractogram is simulated, not measured: it uses a crystal structure in Alexandria, relaxed with GGA-PBE and CuKα.
Neutral-atom scattering factors, no anomalous dispersion.

Principal peaks in the range 2θ = 10–90°, sorted by position:
2θ 21.06, I = 272; 2θ 25.54, I = 1000; 2θ 26.28, I = 611; 2θ 32.18, I = 232; 2θ 32.80, I = 204; 2θ 35.25, I = 265; 2θ 35.79, I = 240; 2θ 40.95, I = 353; 2θ 41.07, I = 403; 2θ 41.57, I = 749

Structural model:
```
Ag2Te2S
1.0
4.345 0.000 0.000
-0.013 7.300 0.000
-2.151 -0.154 8.776
Ag Te S
4 4 2
Direct
0.072 0.115 0.137 Ag
0.336 0.320 0.674 Ag
0.664 0.680 0.326 Ag
0.928 0.885 0.863 Ag
0.054 0.648 0.105 Te
0.273 0.695 0.545 Te
0.727 0.305 0.455 Te
0.946 0.352 0.895 Te
0.362 0.953 0.728 S
0.638 0.047 0.272 S
```

# 7
Diffraction record for Ag8TeS6. The powder diffractogram is simulated, not measured: it uses a crystal structure in Alexandria, relaxed with GGA-PBE and CuKα.
Neutral-atom scattering factors, no anomalous dispersion.

Principal peaks in the range 2θ = 10–90°, sorted by position:
2θ 25.37, I = 314; 2θ 27.36, I = 1000; 2θ 29.45, I = 265; 2θ 29.92, I = 241; 2θ 33.33, I = 345; 2θ 36.49, I = 352; 2θ 41.57, I = 428; 2θ 43.24, I = 303; 2θ 43.36, I = 369; 2θ 47.81, I = 247

Structural model:
```
Ag8TeS6
1.0
8.348 0.000 0.000
0.000 7.457 0.000
0.000 0.000 10.435
Ag Te S
16 2 12
Direct
0.000 0.093 0.000 Ag
0.000 0.213 0.437 Ag
0.207 0.589 0.823 Ag
0.216 0.667 0.110 Ag
0.218 0.051 0.220 Ag
0.282 0.949 0.720 Ag
0.284 0.333 0.610 Ag
0.293 0.411 0.323 Ag
0.500 0.787 0.937 Ag
0.500 0.907 0.500 Ag
0.707 0.411 0.323 Ag
0.716 0.333 0.610 Ag
0.718 0.949 0.720 Ag
0.782 0.051 0.220 Ag
0.784 0.667 0.110 Ag
0.793 0.589 0.823 Ag
0.000 0.717 0.432 Te
0.500 0.283 0.932 Te
0.000 0.298 0.206 S
0.000 0.488 0.606 S
0.000 0.756 0.961 S
0.000 0.955 0.591 S
0.209 0.232 0.845 S
0.291 0.768 0.345 S
0.500 0.045 0.091 S
0.500 0.244 0.461 S
0.500 0.512 0.106 S
0.500 0.702 0.706 S
0.709 0.768 0.345 S
0.791 0.232 0.845 S
```

# 8
Diffraction record for Ag2Te3S4. The powder diffractogram is simulated, not measured: it uses a crystal structure in Alexandria, relaxed with GGA-PBE and CuKα.
Neutral-atom scattering factors, no anomalous dispersion.

Principal peaks in the range 2θ = 10–90°, sorted by position:
2θ 16.89, I = 1000; 2θ 17.15, I = 510; 2θ 19.29, I = 748; 2θ 23.93, I = 790; 2θ 26.54, I = 843; 2θ 29.29, I = 505; 2θ 29.92, I = 662; 2θ 31.34, I = 418; 2θ 32.68, I = 430; 2θ 33.24, I = 376

Structural model:
```
Ag2Te3S4
1.0
8.183 0.000 0.000
-0.565 8.685 0.000
-1.288 -4.393 8.168
Ag Te S
4 6 8
Direct
0.083 0.358 0.280 Ag
0.312 0.132 0.065 Ag
0.688 0.868 0.935 Ag
0.917 0.642 0.720 Ag
0.112 0.044 0.418 Te
0.296 0.587 0.082 Te
0.495 0.135 0.447 Te
0.505 0.865 0.553 Te
0.704 0.413 0.918 Te
0.888 0.956 0.582 Te
0.055 0.340 0.524 S
0.118 0.310 0.013 S
0.452 0.428 0.784 S
0.474 0.957 0.155 S
0.526 0.043 0.845 S
0.548 0.572 0.216 S
0.882 0.690 0.987 S
0.945 0.660 0.476 S
```

Please write out number 1 again, unchanged.
Diffraction record for TaAg7S6. The powder diffractogram is simulated, not measured: it uses a crystal structure in Alexandria, relaxed with GGA-PBE and CuKα.
Neutral-atom scattering factors, no anomalous dispersion.

Principal peaks in the range 2θ = 10–90°, sorted by position:
2θ 13.77, I = 805; 2θ 16.52, I = 388; 2θ 27.73, I = 988; 2θ 28.20, I = 516; 2θ 28.33, I = 913; 2θ 30.37, I = 1000; 2θ 33.39, I = 377; 2θ 37.04, I = 745; 2θ 39.86, I = 358; 2θ 45.58, I = 586

Structural model:
```
TaAg7S6
1.0
7.967 0.000 0.000
0.000 7.265 0.000
-7.791 0.000 10.650
Ta Ag S
2 14 12
Direct
0.000 0.248 0.000 Ta
0.000 0.752 0.500 Ta
0.069 0.426 0.310 Ag
0.069 0.574 0.810 Ag
0.521 0.036 0.062 Ag
0.521 0.139 0.321 Ag
0.521 0.861 0.821 Ag
0.521 0.964 0.562 Ag
0.661 0.346 0.696 Ag
0.661 0.654 0.196 Ag
0.713 0.474 0.498 Ag
0.713 0.526 0.998 Ag
0.957 0.011 0.267 Ag
0.957 0.989 0.767 Ag
0.974 0.207 0.469 Ag
0.974 0.793 0.969 Ag
0.110 0.492 0.624 S
0.110 0.508 0.124 S
0.132 0.017 0.147 S
0.132 0.983 0.647 S
0.173 0.248 0.907 S
0.173 0.752 0.407 S
0.434 0.271 0.464 S
0.434 0.729 0.964 S
0.638 0.232 0.868 S
0.638 0.768 0.368 S
0.714 0.271 0.233 S
0.714 0.729 0.733 S
```

Which formula does entry 2 have?
TaAg7S6

Number 3 is which compound?
TaTlAg2S4